1.
The following is a simulated X-ray diffraction stick pattern of TbGdP2Ir2Se2. It was derived from a crystal structure in OQMD, relaxed with GGA-PBE, using Cu Kα (weighted mean of Kα1 and Kα2).
Neutral-atom scattering factors, no anomalous dispersion.

Structural model:
Cell lengths 4.0164, 4.0164, 9.4130 Å; angles 90.00, 90.00, 90.00 degrees
Space group P4mm (No. 99)
Unique sites:
1 Tb 0.0000 0.0000 0.0000 x1
2 Gd 0.5000 0.5000 0.5257 x1
3 P 0.0000 0.0000 0.4087 x1
4 P 0.5000 0.5000 0.1149 x1
5 Ir 0.0000 0.5000 0.2615 x2
6 Se 0.0000 0.5000 0.7640 x2

The 6 most intense peaks (10° ≤ 2θ ≤ 90°), sorted by position:
2θ/deg  intensity
24.09  27
36.97  100
38.25  19
45.15  32
60.62  20
77.91  23

2.
The following is a simulated X-ray diffraction stick pattern of PrGdIr2. It was derived from a crystal structure in OQMD, relaxed with GGA-PBE, using Cu Kα (weighted mean of Kα1 and Kα2).
Neutral-atom scattering factors, no anomalous dispersion.

Structural model:
Cell lengths 4.3002, 7.5229, 5.7021 Å; angles 90.00, 90.00, 90.00 degrees
Space group Pmn2_1 (No. 31)
Unique sites:
1 Pr 0.0000 0.0761 0.0000 x2
2 Gd 0.0000 0.5716 0.7335 x2
3 Ir 0.0000 0.2209 0.4859 x2
4 Ir 0.0000 0.7017 0.2435 x2

The 6 most intense peaks (10° ≤ 2θ ≤ 90°), sorted by position:
2θ/deg  intensity
31.60  64
33.62  40
35.40  72
39.25  35
39.78  100
42.02  39

3.
The following is a simulated X-ray diffraction stick pattern of GdTmSi2Ir4. It was derived from a crystal structure in OQMD, relaxed with GGA-PBE, using Cu Kα (weighted mean of Kα1 and Kα2).
Neutral-atom scattering factors, no anomalous dispersion.

Structural model:
Cell lengths 7.0244, 3.8122, 10.1196 Å; angles 90.00, 90.00, 90.00 degrees
Space group Amm2 (No. 38)
Unique sites:
1 Gd 0.0000 0.0000 0.0000 x2
2 Tm 0.5000 0.0000 0.8851 x2
3 Si 0.0000 0.0000 0.7198 x2
4 Si 0.5000 0.0000 0.1655 x2
5 Ir 0.2029 0.0000 0.2968 x4
6 Ir 0.3004 0.0000 0.5869 x4

The 6 most intense peaks (10° ≤ 2θ ≤ 90°), sorted by position:
2θ/deg  intensity
35.53  90
35.88  100
37.83  53
42.54  40
44.14  47
47.71  30

4.
The following is a simulated X-ray diffraction stick pattern of SmGdZnIr2. It was derived from a crystal structure in OQMD, relaxed with GGA-PBE, using Cu Kα (weighted mean of Kα1 and Kα2).
Neutral-atom scattering factors, no anomalous dispersion.

Structural model:
Cell lengths 4.2056, 5.8456, 8.4610 Å; angles 90.00, 90.00, 90.00 degrees
Space group Imm2 (No. 44)
Unique sites:
1 Sm 0.0000 0.0000 0.0000 x2
2 Gd 0.0000 0.0000 0.5954 x2
3 Zn 0.0000 0.5000 0.7986 x2
4 Ir 0.0000 0.2685 0.2975 x4

The 6 most intense peaks (10° ≤ 2θ ≤ 90°), sorted by position:
2θ/deg  intensity
33.74  71
37.40  60
38.43  55
39.01  100
43.01  39
67.76  42

5.
The following is a simulated X-ray diffraction stick pattern of KSmGdNi2. It was derived from a crystal structure in OQMD, relaxed with GGA-PBE, using Cu Kα (weighted mean of Kα1 and Kα2).
Neutral-atom scattering factors, no anomalous dispersion.

Structural model:
Cell lengths 3.7663, 4.0241, 18.1241 Å; angles 90.00, 90.00, 90.00 degrees
Space group Amm2 (No. 38)
Unique sites:
1 K 0.0000 0.0000 0.0000 x2
2 Sm 0.5000 0.0000 0.6683 x2
3 Gd 0.5000 0.0000 0.3335 x2
4 Ni 0.0000 0.0000 0.2124 x2
5 Ni 0.0000 0.0000 0.7938 x2

The 6 most intense peaks (10° ≤ 2θ ≤ 90°), sorted by position:
2θ/deg  intensity
26.62  56
29.57  39
30.87  39
32.95  51
35.88  100
41.21  56

6.
The following is a simulated X-ray diffraction stick pattern of KGdNiTe3. It was derived from a crystal structure in OQMD, relaxed with GGA-PBE, using Cu Kα (weighted mean of Kα1 and Kα2).
Neutral-atom scattering factors, no anomalous dispersion.

Structural model:
Cell lengths 4.2175, 17.0802, 10.6925 Å; angles 90.00, 90.00, 90.00 degrees
Space group Cmcm (No. 63)
Unique sites:
1 K 0.0000 0.2459 0.2500 x4
2 Gd 0.0000 0.5000 0.0000 x4
3 Ni 0.0000 0.0100 0.7500 x4
4 Te 0.0000 0.1191 0.5903 x8
5 Te 0.0000 0.4173 0.7500 x4

The 6 most intense peaks (10° ≤ 2θ ≤ 90°), sorted by position:
2θ/deg  intensity
10.36  100
27.11  40
27.61  51
31.25  36
37.84  47
40.29  23

7.
The following is a simulated X-ray diffraction stick pattern of KGdPO. It was derived from a crystal structure in OQMD, relaxed with GGA-PBE, using Cu Kα (weighted mean of Kα1 and Kα2).
Neutral-atom scattering factors, no anomalous dispersion.

Structural model:
Cell lengths 3.4761, 7.7585, 7.6004 Å; angles 90.00, 90.00, 90.00 degrees
Space group Pmc2_1 (No. 26)
Unique sites:
1 K 0.0000 0.0463 0.0000 x2
2 Gd 0.5000 0.3772 0.3595 x2
3 P 0.5000 0.2873 0.7205 x2
4 O 0.0000 0.2436 0.2773 x2

The 6 most intense peaks (10° ≤ 2θ ≤ 90°), sorted by position:
2θ/deg  intensity
11.41  70
16.33  100
25.78  98
26.11  57
28.13  76
36.68  68

8.
The following is a simulated X-ray diffraction stick pattern of K3GdP2O8. It was derived from a crystal structure in OQMD, relaxed with GGA-PBE, using Cu Kα (weighted mean of Kα1 and Kα2).
Neutral-atom scattering factors, no anomalous dispersion.

Structural model:
Cell lengths 7.3539, 5.6036, 9.3900 Å; angles 90.00, 90.70, 90.00 degrees
Space group P2_1/m (No. 11)
Unique sites:
1 K 0.0053 0.2500 0.1917 x2
2 K 0.1346 0.7500 0.4091 x2
3 K 0.2966 0.2500 0.9183 x2
4 Gd 0.4935 0.7500 0.7091 x2
5 P 0.2688 0.7500 0.0881 x2
6 P 0.3097 0.2500 0.5738 x2
7 O 0.0614 0.7500 0.1019 x2
8 O 0.2157 0.2500 0.4241 x2
9 O 0.2538 0.0239 0.6587 x4
10 O 0.3268 0.7500 0.9296 x2
11 O 0.3486 0.5245 0.1632 x4
12 O 0.4833 0.7500 0.4534 x2

The 6 most intense peaks (10° ≤ 2θ ≤ 90°), sorted by position:
2θ/deg  intensity
12.04  95
18.44  40
22.14  52
30.70  100
31.94  57
32.78  66

9.
The following is a simulated X-ray diffraction stick pattern of KGdSe2O8. It was derived from a crystal structure in OQMD, relaxed with GGA-PBE, using Cu Kα (weighted mean of Kα1 and Kα2).
Neutral-atom scattering factors, no anomalous dispersion.

Structural model:
Cell lengths 5.6563, 5.6563, 7.3171 Å; angles 90.00, 90.00, 120.00 degrees
Space group P-3m1 (No. 164)
Unique sites:
1 K 0.0000 0.0000 0.0000 x1
2 Gd 0.0000 0.0000 0.5000 x1
3 Se 0.3333 0.6667 0.7803 x2
4 O 0.1751 0.3503 0.6962 x6
5 O 0.3333 0.6667 0.0041 x2

The 6 most intense peaks (10° ≤ 2θ ≤ 90°), sorted by position:
2θ/deg  intensity
18.11  18
21.83  100
30.50  51
31.64  49
44.52  28
50.87  19

10.
The following is a simulated X-ray diffraction stick pattern of KGdSeO. It was derived from a crystal structure in OQMD, relaxed with GGA-PBE, using Cu Kα (weighted mean of Kα1 and Kα2).
Neutral-atom scattering factors, no anomalous dispersion.

Structural model:
Cell lengths 7.7998, 7.5253, 6.6087 Å; angles 90.00, 102.30, 90.00 degrees
Space group P2_1/c (No. 14)
Unique sites:
1 K 0.0902 0.2270 0.4932 x4
2 Gd 0.4726 0.6270 0.7763 x4
3 Se 0.2395 0.5878 0.3523 x4
4 O 0.4049 0.1489 0.3836 x4

The 6 most intense peaks (10° ≤ 2θ ≤ 90°), sorted by position:
2θ/deg  intensity
11.61  100
27.23  23
28.67  61
32.33  46
34.28  32
38.27  32

11.
The following is a simulated X-ray diffraction stick pattern of K4Gd3Pb3. It was derived from a crystal structure in OQMD, relaxed with GGA-PBE, using Cu Kα (weighted mean of Kα1 and Kα2).
Neutral-atom scattering factors, no anomalous dispersion.

Structural model:
Cell lengths 4.8766, 31.3124, 4.5678 Å; angles 90.00, 90.00, 90.00 degrees
Space group Cmmm (No. 65)
Unique sites:
1 K 0.0000 0.1024 0.0000 x4
2 K 0.0000 0.3981 0.5000 x4
3 Gd 0.0000 0.0000 0.5000 x2
4 Gd 0.0000 0.2094 0.5000 x4
5 Pb 0.0000 0.2988 0.0000 x4
6 Pb 0.0000 0.5000 0.0000 x2

The 6 most intense peaks (10° ≤ 2θ ≤ 90°), sorted by position:
2θ/deg  intensity
11.30  42
26.89  16
28.51  27
30.37  100
36.86  15
51.66  19

12.
The following is a simulated X-ray diffraction stick pattern of KGdPdS4. It was derived from a crystal structure in OQMD, relaxed with GGA-PBE, using Cu Kα (weighted mean of Kα1 and Kα2).
Neutral-atom scattering factors, no anomalous dispersion.

Structural model:
Cell lengths 6.9129, 6.3027, 8.6336 Å; angles 90.00, 108.18, 90.00 degrees
Space group P2_1 (No. 4)
Unique sites:
1 K 0.2481 0.0000 0.0545 x2
2 Gd 0.2083 0.9886 0.5498 x2
3 Pd 0.2680 0.4689 0.3620 x2
4 S 0.0078 0.7284 0.2852 x2
5 S 0.0104 0.7340 0.7165 x2
6 S 0.4516 0.5338 0.1778 x2
7 S 0.4963 0.6660 0.5873 x2

The 6 most intense peaks (10° ≤ 2θ ≤ 90°), sorted by position:
2θ/deg  intensity
10.79  100
17.75  31
25.92  34
28.32  15
32.40  54
39.64  24